(1)
Starting from the GGA+U geometry in the Materials Project, the X-ray diffraction stick pattern of Li13Ni15O28 was computed for Cu Kα, 1.54184 Å.
Lines closer than 0.1° are merged.

Cell and atoms:
Lattice parameters (Å, degrees): 7.675 8.275 8.643 104.21 104.38 105.06
Fractional coordinates of all 56 atoms:
Li 0.000 0.000 0.000
Li 0.070 0.715 0.786
Li 0.143 0.429 0.573
Li 0.216 0.145 0.358
Li 0.281 0.856 0.142
Li 0.355 0.567 0.927
Li 0.429 0.289 0.714
Li 0.571 0.711 0.286
Li 0.645 0.433 0.073
Li 0.719 0.144 0.858
Li 0.784 0.855 0.642
Li 0.857 0.571 0.427
Li 0.930 0.285 0.214
Ni 0.000 0.500 0.000
Ni 0.070 0.214 0.788
Ni 0.145 0.930 0.571
Ni 0.212 0.642 0.357
Ni 0.287 0.355 0.145
Ni 0.360 0.073 0.930
Ni 0.426 0.783 0.713
Ni 0.500 0.000 0.500
Ni 0.500 0.500 0.500
Ni 0.574 0.217 0.287
Ni 0.640 0.927 0.070
Ni 0.713 0.645 0.855
Ni 0.788 0.358 0.643
Ni 0.855 0.070 0.429
Ni 0.930 0.786 0.212
O 0.006 0.246 0.991
O 0.066 0.449 0.797
O 0.087 0.983 0.782
O 0.118 0.175 0.575
O 0.162 0.689 0.582
O 0.212 0.895 0.369
O 0.230 0.397 0.349
O 0.266 0.585 0.133
O 0.310 0.126 0.155
O 0.358 0.308 0.945
O 0.367 0.840 0.923
O 0.411 0.032 0.707
O 0.433 0.533 0.700
O 0.491 0.750 0.507
O 0.509 0.250 0.493
O 0.567 0.467 0.300
O 0.589 0.968 0.293
O 0.633 0.160 0.077
O 0.642 0.692 0.055
O 0.690 0.874 0.845
O 0.734 0.415 0.867
O 0.770 0.603 0.651
O 0.788 0.105 0.631
O 0.838 0.311 0.418
O 0.882 0.825 0.425
O 0.913 0.017 0.218
O 0.934 0.551 0.203
O 0.994 0.754 0.009

Principal peaks in the range 2θ = 15–90°, sorted by position:
| d/Å | Position (°2θ) | Rel. int. |
| --- | --- | --- |
| 4.775 | 18.58 | 100 |
| 2.481 | 36.21 | 15 |
| 2.471 | 36.36 | 14 |
| 2.451 | 36.67 | 13 |
| 2.387 | 37.68 | 8 |
| 2.365 | 38.06 | 23 |
| 2.069 | 43.76 | 31 |
| 2.056 | 44.05 | 30 |
| 2.034 | 44.54 | 29 |
| 1.453 | 64.07 | 8 |

---

(2)
Starting from the GGA+U geometry in the Materials Project, the X-ray diffraction stick pattern of LiNi3O4 was computed for Cu Kα, 1.54184 Å.
Lines closer than 0.1° are merged.

Cell and atoms:
Lattice parameters (Å, degrees): 5.138 5.138 5.830 90.00 90.00 110.28
Fractional coordinates of all 16 atoms:
Li 0.000 0.000 0.000
Li 0.000 0.000 0.500
Ni 0.000 0.500 0.248
Ni 0.000 0.500 0.752
Ni 0.500 0.000 0.248
Ni 0.500 0.000 0.752
Ni 0.500 0.500 0.000
Ni 0.500 0.500 0.500
O 0.248 0.752 0.500
O 0.250 0.750 0.000
O 0.271 0.271 0.239
O 0.271 0.271 0.761
O 0.729 0.729 0.239
O 0.729 0.729 0.761
O 0.750 0.250 0.000
O 0.752 0.248 0.500

Principal peaks in the range 2θ = 15–90°, sorted by position:
| d/Å | Position (°2θ) | Rel. int. |
| --- | --- | --- |
| 4.819 | 18.41 | 59 |
| 4.216 | 21.07 | 19 |
| 2.494 | 36.01 | 16 |
| 2.410 | 37.32 | 43 |
| 2.398 | 37.51 | 42 |
| 2.108 | 42.90 | 54 |
| 2.069 | 43.76 | 100 |
| 1.476 | 62.95 | 59 |
| 1.468 | 63.34 | 14 |
| 1.457 | 63.87 | 14 |